1.
# CeGeRh3
Computed XRD peak list, Cu Ka. Input: a GGA-PBE-relaxed structure.
Intensities are scaled so that the largest is 100.

```
CeGeRh3
1.0
-2.7561 3.8047 4.2032
2.7561 -3.8047 4.2032
2.7561 3.8047 -4.2032
Ce Ge Rh
2 2 6
direct
0.2562 0.0062 0.2500 Ce
0.7438 0.9938 0.7500 Ce
0.0000 0.5000 0.5000 Ge
0.5000 0.5000 0.0000 Ge
0.0583 0.3083 0.7500 Rh
0.3060 0.0000 0.8060 Rh
0.3060 0.5000 0.3060 Rh
0.6940 0.0000 0.1940 Rh
0.6940 0.5000 0.6940 Rh
0.9417 0.6917 0.2500 Rh
```

Most intense lines, 2θ = 15–90°, low angle first:
2θ/deg, d_spacing, I_rel
30.5, 2.934, 87
36.3, 2.476, 48
37.0, 2.428, 63
39.1, 2.305, 85
40.4, 2.232, 70
43.0, 2.102, 51
43.3, 2.088, 100
47.8, 1.902, 45

***

2.
# Ce2Ge6RuRh
Computed XRD peak list, Cu Ka. Input: a GGA-PBE-relaxed structure.
Intensities are scaled so that the largest is 100.

```
Ce2Ge6RuRh
1.0
6.5544 0.0000 0.0000
0.0000 8.8800 0.0000
0.0000 0.0000 7.0267
Ce Ge Ru Rh
4 12 2 2
direct
0.2500 0.0001 0.2479 Ce
0.2500 0.4999 0.2479 Ce
0.7500 0.9999 0.7521 Ce
0.7500 0.5001 0.7521 Ce
0.0603 0.2500 0.5811 Ge
0.0627 0.7500 0.9223 Ge
0.2500 0.0037 0.7420 Ge
0.2500 0.4963 0.7420 Ge
0.4373 0.7500 0.9223 Ge
0.4397 0.2500 0.5811 Ge
0.5603 0.7500 0.4189 Ge
0.5627 0.2500 0.0777 Ge
0.7500 0.5037 0.2580 Ge
0.7500 0.9963 0.2580 Ge
0.9373 0.2500 0.0777 Ge
0.9397 0.7500 0.4189 Ge
0.2500 0.2500 0.9104 Ru
0.7500 0.7500 0.0896 Ru
0.2500 0.7500 0.5971 Rh
0.7500 0.2500 0.4029 Rh
```

Most intense lines, 2θ = 15–90°, low angle first:
2θ/deg, d_spacing, I_rel
27.2, 3.277, 33
27.4, 3.257, 61
32.5, 2.755, 100
34.0, 2.637, 37
37.5, 2.396, 32
38.9, 2.314, 38
40.6, 2.220, 53
44.6, 2.031, 32

***

3.
# CeSiGeRh2
Computed XRD peak list, Cu Ka. Input: a GGA-PBE-relaxed structure.
Intensities are scaled so that the largest is 100.

```
CeSiGeRh2
1.0
4.1286 0.0000 0.0000
0.0000 4.1286 0.0000
0.0000 0.0000 10.2861
Ce Si Ge Rh
2 2 2 4
direct
0.0000 0.0000 0.0000 Ce
0.5000 0.5000 0.5000 Ce
0.0000 0.0000 0.6246 Si
0.5000 0.5000 0.1246 Si
0.0000 0.0000 0.3811 Ge
0.5000 0.5000 0.8811 Ge
0.0000 0.5000 0.2425 Rh
0.0000 0.5000 0.7425 Rh
0.5000 0.0000 0.2425 Rh
0.5000 0.0000 0.7425 Rh
```

Most intense lines, 2θ = 15–90°, low angle first:
2θ/deg, d_spacing, I_rel
34.0, 2.638, 37
35.4, 2.539, 100
43.9, 2.064, 43
49.5, 1.841, 15
56.6, 1.626, 17
62.9, 1.478, 15
63.8, 1.460, 14
75.1, 1.265, 22